# Cs2TlGaH6
Simulated powder XRD pattern, CuKα. Input: a crystal structure in the Materials Project, relaxed with PBE.
Intensities are scaled so that the largest is 100.

Most intense lines, 2θ from 5° to 70°, most intense first:
3.136 Å, I 100.0, (2 2 0); 1.810 Å, I 40.9, (4 2 2); 2.217 Å, I 19.6, (4 0 0); 1.402 Å, I 17.9, (6 2 0); 1.568 Å, I 13.1, (4 4 0); 5.121 Å, I 11.2, (1 1 1); 2.674 Å, I 7.4, (3 1 1); 2.035 Å, I 3.6, (3 3 1)

Cell and atoms:
```
data_Cs2TlGaH6
_chemical_formula_sum 'Cs8 Tl4 Ga4 H24'
_symmetry_space_group_name_H-M 'F m -3 m'
_symmetry_Int_Tables_number 225
_symmetry_space_group_name_Hall '-F 4 2 3'
_cell_length_a 8.870
_cell_length_b 8.870
_cell_length_c 8.870
_cell_angle_alpha 90.00
_cell_angle_beta 90.00
_cell_angle_gamma 90.00
loop_
_atom_site_label
_atom_site_type_symbol
_atom_site_fract_x
_atom_site_fract_y
_atom_site_fract_z
_atom_site_occupancy
Cs1 Cs 0.250 0.250 0.250 1
Tl1 Tl 0.000 0.000 0.000 1
Ga1 Ga 0.000 0.000 0.500 1
H1 H 0.000 0.000 0.297 1
```